Simulated PXRD pattern
Compound: Ho2Co7
Radiation: a wavelength of 1.5418 Å
Structure: a crystal structure in the Materials Project, relaxed with PBE
Neutral-atom scattering factors, no anomalous dispersion.

Structural model:
a b c (Å): 4.9243 4.9243 35.9425
angles (deg): 90.00 90.00 120.00
Space group R-3m (No. 166, hexagonal axes)
Inequivalent atoms, fractional coordinates:
Ho (0.0000, 0.0000, 0.0526) [6 per cell]
Ho (0.0000, 0.0000, 0.1485) [6 per cell]
Co (0.0000, 0.0000, 0.2784) [6 per cell]
Co (0.0000, 0.0000, 0.3886) [6 per cell]
Co (0.0000, 0.0000, 0.5000) [3 per cell]
Co (0.0000, 0.5000, 0.0000) [9 per cell]
Co (0.9996, 0.4998, 0.1095) [18 per cell]

Peak list (10 most intense, 10° ≤ 2θ ≤ 80°, in order of rising 2θ)
Position (°2θ)  Rel. int.  index
32.6  442  1 0 10
34.6  310  0 1 11
36.5  499  1 1 0
42.5  343  0 2 1
43.2  1000  1 1 9
45.4  151  0 0 18
63.2  134  2 1 10
68.3  108  2 0 20
70.3  222  3 0 9
77.5  195  2 2 0